No. 1
This entry pairs a crystal structure of Dy4InNi2Ge4 with its simulated powder XRD pattern. Radiation: a wavelength of 1.5418 Å. Structure: a cell relaxed with PBE.
Neutral-atom scattering factors, no anomalous dispersion.

Main lines, in order of falling intensity (2θ = 10–80°):
2θ (°), Rel. int., index
34.45, 100, 3 1 -2
33.43, 74, 3 1 1
42.63, 52, 0 2 0
36.24, 52, 1 1 2
36.04, 35, 5 1 -1
37.21, 34, 5 1 0
34.72, 29, 6 0 -1
27.82, 27, 3 1 0
40.48, 22, 0 0 3
37.93, 22, 6 0 -2

Structure:
Cell lengths 15.5194, 4.2420, 7.0592 Å; angles 90.00, 108.72, 90.00 degrees
Space group C2/m (No. 12)
One atom of each set of equivalent atoms:
Dy: 0.0918 0.0000 0.3910 (multiplicity 4)
Dy: 0.1557 0.0000 0.9380 (multiplicity 4)
In: 0.0000 0.5000 0.0000 (multiplicity 2)
Ni: 0.2166 0.5000 0.6439 (multiplicity 4)
Ge: 0.0654 0.5000 0.6623 (multiplicity 4)
Ge: 0.2042 0.5000 0.2726 (multiplicity 4)

***

No. 2
This entry pairs a crystal structure of Sb with its simulated powder XRD pattern. Radiation: a wavelength of 1.5418 Å. Structure: a cell relaxed with PBE.
Neutral-atom scattering factors, no anomalous dispersion.

Main lines, in order of falling intensity (2θ = 10–80°):
2θ (°), Rel. int., index
33.48, 100, 1 1 0
59.85, 37, 2 1 1
48.07, 18, 2 0 0
70.34, 11, 2 2 0

Structure:
Cell lengths 3.7853, 3.7853, 3.7853 Å; angles 90.00, 90.00, 90.00 degrees
Space group Im-3m (No. 229)
One atom of each set of equivalent atoms:
Sb: 0.0000 0.0000 0.0000 (multiplicity 2)